LiTl2Hg2: simulated powder diffraction line list (CuKα), based on a GGA-PBE-relaxed structure.

Most intense lines, 10 to 90 degrees two-theta, by angle:
2theta	intensity
16.74	19
23.76	15
32.52	100
37.18	16
37.99	16
51.79	10
53.92	15
54.21	12
64.10	16
70.45	13

Structural model:
```
LiTl2Hg2
1.0
7.489 0.000 0.000
0.000 7.489 0.000
0.000 0.000 4.837
Li Tl Hg
2 4 4
direct
0.000 0.000 0.000
0.500 0.500 0.000
0.172 0.328 0.500
0.328 0.828 0.500
0.672 0.172 0.500
0.828 0.672 0.500
0.144 0.644 0.000
0.356 0.144 0.000
0.644 0.856 0.000
0.856 0.356 0.000
```